(1)
The following is a simulated powder diffraction line list of MgFe3Co2SbP6O24. It was derived from a PBE+U-relaxed structure, using Cu Kα, 1.54184 Å.
Neutral-atom scattering factors, no anomalous dispersion.

Top 10 peaks for 2θ from 15° to 90°, in order of rising 2θ:
hkl  2θ (°)  I_rel
1 -1 0  20.37  100
1 2 0  23.72  16
-1 1 1  23.80  31
2 1 2  23.88  26
2 1 -1  32.00  17
1 2 3  32.18  16
3 0 1  35.67  41
3 2 -1  45.93  12
1 3 4  46.20  17
4 5 3  55.82  17

Cell: 8.711 8.721 8.803 Å, 60.77 60.58 60.06°
Atoms (fractional coordinates):
Mg: 0.000 0.000 0.000
Fe: 0.117 0.119 0.647
Fe: 0.390 0.391 0.829
Fe: 0.592 0.595 0.219
Co: 0.250 0.254 0.248
Co: 0.734 0.728 0.813
Sb: 0.869 0.871 0.390
P: 0.208 0.781 0.521
P: 0.298 0.692 0.014
P: 0.489 0.212 0.517
P: 0.690 0.997 0.014
P: 0.781 0.491 0.519
P: 0.996 0.298 0.015
O: 0.044 0.250 0.846
O: 0.122 0.747 0.181
O: 0.156 0.313 0.032
O: 0.196 0.982 0.471
O: 0.251 0.860 0.846
O: 0.257 0.643 0.695
O: 0.313 0.501 0.029
O: 0.335 0.716 0.353
O: 0.350 0.201 0.465
O: 0.402 0.261 0.692
O: 0.485 0.672 0.014
O: 0.499 0.158 0.031
O: 0.594 0.339 0.351
O: 0.639 0.003 0.571
O: 0.643 0.405 0.693
O: 0.671 0.831 0.012
O: 0.715 0.596 0.351
O: 0.745 0.950 0.182
O: 0.785 0.641 0.574
O: 0.829 0.486 0.013
O: 0.858 0.045 0.846
O: 0.948 0.124 0.182
O: 0.983 0.352 0.468
O: 0.998 0.787 0.575

=====

(2)
The following is a simulated powder diffraction line list of MgFe3Co2SbP6O24. It was derived from a PBE+U-relaxed structure, using Cu Kα, 1.54184 Å.
Neutral-atom scattering factors, no anomalous dispersion.

Top 10 peaks for 2θ from 15° to 90°, in order of rising 2θ:
hkl  2θ (°)  I_rel
1 1 -1  20.16  59
1 -2 0  20.20  100
1 1 0  23.44  53
1 -2 1  23.56  42
-2 1 2  23.78  43
0 3 -1  35.35  64
3 -1 1  45.27  17
1 2 -4  45.83  20
1 -5 1  55.20  24
-4 5 1  55.32  21

Cell: 8.786 8.797 8.846 Å, 90.30 118.91 119.87°
Atoms (fractional coordinates):
Mg: 0.000 0.000 0.000
Fe: 0.295 0.651 0.949
Fe: 0.502 0.251 0.743
Fe: 0.740 0.373 0.121
Co: 0.032 0.512 0.531
Co: 0.241 0.129 0.385
Sb: 0.697 0.850 0.555
P: 0.196 0.451 0.249
P: 0.220 0.266 0.769
P: 0.483 0.043 0.242
P: 0.509 0.956 0.778
P: 0.786 0.750 0.238
P: 0.823 0.555 0.777
O: 0.036 0.448 0.289
O: 0.074 0.121 0.815
O: 0.141 0.252 0.210
O: 0.182 0.420 0.736
O: 0.186 0.515 0.086
O: 0.206 0.186 0.598
O: 0.305 0.061 0.213
O: 0.322 0.763 0.744
O: 0.391 0.894 0.075
O: 0.415 0.585 0.427
O: 0.419 0.016 0.605
O: 0.458 0.343 0.922
O: 0.562 0.674 0.076
O: 0.577 0.993 0.417
O: 0.585 0.119 0.930
O: 0.594 0.405 0.605
O: 0.676 0.238 0.280
O: 0.699 0.954 0.824
O: 0.811 0.467 0.929
O: 0.827 0.595 0.278
O: 0.827 0.840 0.416
O: 0.872 0.747 0.822
O: 0.948 0.895 0.202
O: 0.983 0.557 0.744

=====

(3)
The following is a simulated powder diffraction line list of MgFe3Co2SbP6O24. It was derived from a PBE+U-relaxed structure, using Cu Kα, 1.54184 Å.
Neutral-atom scattering factors, no anomalous dispersion.

Top 10 peaks for 2θ from 15° to 90°, in order of rising 2θ:
hkl  2θ (°)  I_rel
1 2 0  20.35  100
2 1 0  23.88  49
1 -1 2  23.93  22
3 2 1  31.61  10
1 2 2  32.36  33
3 0 2  35.65  40
3 1 -1  46.40  16
1 -2 4  46.50  16
1 5 -1  55.76  28
3 -3 3  64.03  9

Cell: 8.721 8.725 8.735 Å, 89.96 60.16 60.02°
Atoms (fractional coordinates):
Mg: 0.000 0.000 0.000
Fe: 0.206 0.398 0.191
Fe: 0.244 0.878 0.634
Fe: 0.755 0.122 0.365
Co: 0.488 0.257 0.766
Co: 0.490 0.754 0.264
Sb: 0.790 0.605 0.814
P: 0.007 0.296 0.996
P: 0.294 0.494 0.499
P: 0.300 0.697 0.996
P: 0.701 0.003 0.995
P: 0.713 0.792 0.497
P: 0.997 0.211 0.497
O: 0.054 0.596 0.679
O: 0.069 0.279 0.332
O: 0.088 0.866 0.167
O: 0.123 0.130 0.826
O: 0.171 0.326 0.986
O: 0.192 0.016 0.454
O: 0.304 0.746 0.825
O: 0.319 0.400 0.334
O: 0.337 0.504 0.987
O: 0.337 0.646 0.454
O: 0.438 0.354 0.554
O: 0.485 0.681 0.008
O: 0.517 0.158 0.985
O: 0.562 0.790 0.453
O: 0.653 0.991 0.551
O: 0.670 0.734 0.679
O: 0.673 0.834 0.007
O: 0.698 0.047 0.167
O: 0.802 0.206 0.551
O: 0.825 0.493 0.008
O: 0.879 0.255 0.168
O: 0.917 0.349 0.678
O: 0.920 0.950 0.825
O: 0.947 0.652 0.333

=====

(4)
The following is a simulated powder diffraction line list of MgFe3Co2SbP6O24. It was derived from a PBE+U-relaxed structure, using Cu Kα, 1.54184 Å.
Neutral-atom scattering factors, no anomalous dispersion.

Top 10 peaks for 2θ from 15° to 90°, in order of rising 2θ:
hkl  2θ (°)  I_rel
1 1 -1  20.23  100
1 0 -2  23.73  47
2 -1 1  23.85  35
1 2 -2  31.43  16
1 -3 1  32.21  14
2 -3 2  32.36  12
1 -1 3  35.40  31
1 2 -3  35.50  16
-3 1 3  46.19  12
3 2 -1  55.35  17

Cell: 8.740 8.763 8.769 Å, 119.68 90.18 119.85°
Atoms (fractional coordinates):
Mg: 0.000 0.000 0.000
Fe: 0.272 0.453 0.730
Fe: 0.480 0.052 0.530
Fe: 0.888 0.240 0.125
Co: 0.135 0.741 0.876
Co: 0.617 0.773 0.386
Sb: 0.762 0.485 0.246
P: 0.090 0.960 0.331
P: 0.186 0.558 0.436
P: 0.374 0.244 0.917
P: 0.574 0.947 0.128
P: 0.678 0.541 0.634
P: 0.877 0.250 0.824
O: 0.011 0.560 0.375
O: 0.030 0.433 0.818
O: 0.071 0.899 0.130
O: 0.115 0.168 0.469
O: 0.135 0.339 0.270
O: 0.189 0.589 0.623
O: 0.232 0.931 0.391
O: 0.234 0.063 0.936
O: 0.304 0.358 0.891
O: 0.371 0.735 0.447
O: 0.384 0.789 0.977
O: 0.465 0.166 0.778
O: 0.537 0.439 0.124
O: 0.537 0.581 0.706
O: 0.565 0.925 0.294
O: 0.623 0.313 0.542
O: 0.635 0.183 0.192
O: 0.686 0.585 0.469
O: 0.712 0.074 0.639
O: 0.739 0.942 0.071
O: 0.816 0.364 0.999
O: 0.879 0.701 0.772
O: 0.883 0.784 0.320
O: 0.935 0.138 0.877

=====

(5)
The following is a simulated powder diffraction line list of MgFe3Co2SbP6O24. It was derived from a PBE+U-relaxed structure, using Cu Kα, 1.54184 Å.
Neutral-atom scattering factors, no anomalous dispersion.

Top 10 peaks for 2θ from 15° to 90°, in order of rising 2θ:
hkl  2θ (°)  I_rel
0 1 -1  20.12  100
1 0 -1  20.31  42
1 2 1  20.48  23
0 1 2  23.67  46
1 2 0  23.97  30
2 0 1  24.16  28
1 2 3  32.41  48
1 -2 1  35.11  28
-2 1 1  35.45  53
1 2 -3  55.31  23

Cell: 8.465 8.665 8.695 Å, 61.15 61.31 62.03°
Atoms (fractional coordinates):
Mg: 0.000 0.000 0.000
Fe: 0.412 0.010 0.777
Fe: 0.601 0.225 0.982
Fe: 0.900 0.497 0.276
Co: 0.276 0.851 0.635
Co: 0.749 0.369 0.137
Sb: 0.115 0.708 0.494
P: 0.009 0.308 0.679
P: 0.195 0.105 0.173
P: 0.304 0.599 0.086
P: 0.512 0.406 0.585
P: 0.711 0.894 0.391
P: 0.817 0.811 0.888
O: 0.002 0.254 0.199
O: 0.015 0.792 0.715
O: 0.077 0.464 0.649
O: 0.162 0.522 0.116
O: 0.164 0.109 0.712
O: 0.191 0.939 0.371
O: 0.213 0.033 0.030
O: 0.234 0.677 0.248
O: 0.301 0.777 0.904
O: 0.347 0.609 0.564
O: 0.367 0.152 0.122
O: 0.424 0.256 0.651
O: 0.504 0.462 0.075
O: 0.510 0.933 0.542
O: 0.577 0.392 0.725
O: 0.646 0.897 0.823
O: 0.652 0.419 0.387
O: 0.742 0.743 0.332
O: 0.743 0.073 0.223
O: 0.819 0.617 0.028
O: 0.826 0.945 0.948
O: 0.856 0.837 0.489
O: 0.862 0.282 0.881
O: 0.952 0.345 0.525

=====

(6)
The following is a simulated powder diffraction line list of MgFe3Co2SbP6O24. It was derived from a PBE+U-relaxed structure, using Cu Kα, 1.54184 Å.
Neutral-atom scattering factors, no anomalous dispersion.

Top 10 peaks for 2θ from 15° to 90°, in order of rising 2θ:
hkl  2θ (°)  I_rel
0 1 -1  20.33  100
0 1 2  23.90  82
1 3 1  31.57  16
1 2 3  32.42  21
2 3 1  32.49  17
1 1 -2  35.60  42
2 2 4  41.37  13
1 3 4  46.50  17
4 1 3  46.60  16
1 2 -3  55.66  29

Cell: 8.710 8.721 8.734 Å, 60.07 60.14 60.14°
Atoms (fractional coordinates):
Mg: 0.000 0.000 0.000
Fe: 0.122 0.122 0.121
Fe: 0.242 0.242 0.241
Fe: 0.516 0.515 0.515
Co: 0.371 0.374 0.374
Co: 0.873 0.870 0.865
Sb: 0.722 0.721 0.722
P: 0.123 0.418 0.812
P: 0.323 0.909 0.618
P: 0.419 0.813 0.121
P: 0.619 0.322 0.909
P: 0.813 0.122 0.417
P: 0.910 0.619 0.322
O: 0.068 0.252 0.865
O: 0.108 0.475 0.324
O: 0.128 0.914 0.771
O: 0.169 0.385 0.977
O: 0.252 0.867 0.065
O: 0.277 0.445 0.619
O: 0.324 0.107 0.475
O: 0.385 0.978 0.168
O: 0.387 0.767 0.529
O: 0.444 0.619 0.275
O: 0.465 0.849 0.717
O: 0.475 0.323 0.106
O: 0.531 0.387 0.766
O: 0.616 0.796 0.952
O: 0.619 0.275 0.444
O: 0.718 0.465 0.850
O: 0.767 0.530 0.386
O: 0.773 0.128 0.915
O: 0.797 0.952 0.614
O: 0.850 0.717 0.465
O: 0.866 0.067 0.251
O: 0.916 0.772 0.128
O: 0.953 0.616 0.795
O: 0.978 0.169 0.384